For LiNiO2, a cell relaxed with GGA+U gives the theoretical X-ray powder pattern in this record (Cu Kα X-rays).

Cell and atoms:
a = 10.1973 Å, b = 10.1973 Å, c = 5.2268 Å
α = 99.09°, β = 99.09°, γ = 16.02°
Element x y z (fractional)
Li  0.1102  0.1102  0.3791
Li  0.1412  0.1412  0.8704
Li  0.8588  0.8588  0.1296
Li  0.8898  0.8898  0.6209
Ni  0.0000  0.0000  0.0000
Ni  0.2476  0.2476  0.2508
Ni  0.5000  0.5000  0.5000
Ni  0.7524  0.7524  0.7492
O  0.0515  0.0515  0.6730
O  0.1989  0.1989  0.5838
O  0.3047  0.3047  0.9314
O  0.4467  0.4467  0.7709
O  0.5533  0.5533  0.2291
O  0.6953  0.6953  0.0686
O  0.8011  0.8011  0.4162
O  0.9485  0.9485  0.3270

Most intense lines, 5 to 70 degrees two-theta, low angle first:
d_spacing	2θ/deg	I_rel
4.984	17.80	100
2.600	34.49	13
2.493	36.02	18
2.275	39.62	36
2.216	40.71	23
1.807	50.51	23
1.722	53.19	10
1.480	62.79	9


For Li17Ni11O28, a cell relaxed with GGA+U gives the theoretical X-ray powder pattern in this record (Cu Kα X-rays).

Cell and atoms:
a = 6.4392 Å, b = 7.5945 Å, c = 10.2038 Å
α = 111.48°, β = 92.86°, γ = 90.46°
Element x y z (fractional)
Li  0.0000  0.0000  0.0000
Li  0.0336  0.8902  0.3556
Li  0.1113  0.6874  0.0746
Li  0.1767  0.4665  0.7857
Li  0.2608  0.2524  0.5035
Li  0.3188  0.0296  0.2096
Li  0.3971  0.8201  0.9312
Li  0.4278  0.7117  0.2847
Li  0.4682  0.6041  0.6464
Li  0.5318  0.3959  0.3536
Li  0.5722  0.2883  0.7153
Li  0.6029  0.1799  0.0688
Li  0.6812  0.9704  0.7904
Li  0.7392  0.7476  0.4965
Li  0.8233  0.5335  0.2143
Li  0.8887  0.3126  0.9254
Li  0.9664  0.1098  0.6444
Ni  0.0688  0.7908  0.7164
Ni  0.1465  0.5710  0.4276
Ni  0.2146  0.3540  0.1420
Ni  0.2851  0.1456  0.8577
Ni  0.3590  0.9339  0.5741
Ni  0.5000  0.5000  0.0000
Ni  0.6410  0.0661  0.4259
Ni  0.7149  0.8544  0.1423
Ni  0.7854  0.6460  0.8580
Ni  0.8535  0.4290  0.5724
Ni  0.9312  0.2092  0.2836
O  0.0060  0.0491  0.8191
O  0.0689  0.7289  0.8797
O  0.0756  0.8464  0.5478
O  0.1322  0.6026  0.2516
O  0.1408  0.5297  0.6030
O  0.1946  0.3905  0.9667
O  0.2365  0.3029  0.3088
O  0.2750  0.1825  0.6827
O  0.2965  0.1067  0.0305
O  0.3571  0.9885  0.4087
O  0.3734  0.9019  0.7503
O  0.4238  0.6773  0.4754
O  0.4348  0.7591  0.1043
O  0.4969  0.4414  0.1672
O  0.5031  0.5586  0.8328
O  0.5652  0.2409  0.8957
O  0.5762  0.3227  0.5246
O  0.6266  0.0981  0.2497
O  0.6429  0.0115  0.5913
O  0.7035  0.8933  0.9695
O  0.7250  0.8175  0.3173
O  0.7635  0.6971  0.6912
O  0.8054  0.6095  0.0333
O  0.8592  0.4703  0.3970
O  0.8678  0.3974  0.7484
O  0.9244  0.1536  0.4522
O  0.9311  0.2711  0.1203
O  0.9940  0.9509  0.1809

Most intense lines, 5 to 70 degrees two-theta, low angle first:
d_spacing	2θ/deg	I_rel
4.712	18.83	100
2.444	36.77	13
2.436	36.90	13
2.035	44.53	26
2.029	44.67	26
2.005	45.22	25
1.859	49.01	12
1.435	64.99	21


For LiNiO2, a cell relaxed with GGA+U gives the theoretical X-ray powder pattern in this record (Cu Kα X-rays).

Cell and atoms:
a = 4.9987 Å, b = 5.0158 Å, c = 5.0641 Å
α = 71.03°, β = 79.95°, γ = 60.93°
Element x y z (fractional)
Li  0.0000  0.0000  0.0000
Li  0.3171  0.3567  0.9919
Li  0.6402  0.6932  0.9884
Ni  0.3159  0.8493  0.4932
Ni  0.6496  0.1826  0.4923
Ni  0.9841  0.5201  0.4932
O  0.0041  0.7756  0.7271
O  0.3203  0.6169  0.2647
O  0.3321  0.0908  0.7105
O  0.6232  0.4591  0.7110
O  0.6277  0.9392  0.2687
O  0.9926  0.2311  0.2750

Most intense lines, 5 to 70 degrees two-theta, low angle first:
d_spacing	2θ/deg	I_rel
4.788	18.53	100
2.508	35.80	15
2.468	36.40	14
2.456	36.59	13
2.371	37.95	11
2.093	43.24	25
2.051	44.15	23
2.037	44.47	23


For Li7Ni9O18, a cell relaxed with GGA+U gives the theoretical X-ray powder pattern in this record (Cu Kα X-rays).

Cell and atoms:
a = 5.8319 Å, b = 6.4252 Å, c = 8.6392 Å
α = 77.14°, β = 89.48°, γ = 75.89°
Element x y z (fractional)
Li  0.0000  0.0000  0.0000
Li  0.0050  0.9950  0.3286
Li  0.3385  0.6547  0.5542
Li  0.3439  0.6599  0.8999
Li  0.6561  0.3401  0.1001
Li  0.6615  0.3453  0.4458
Li  0.9950  0.0050  0.6714
Ni  0.1609  0.3338  0.1118
Ni  0.1644  0.3329  0.4405
Ni  0.1696  0.3323  0.7773
Ni  0.4879  0.9973  0.3325
Ni  0.5000  0.0000  0.0000
Ni  0.5121  0.0027  0.6675
Ni  0.8304  0.6677  0.2227
Ni  0.8356  0.6671  0.5595
Ni  0.8391  0.6662  0.8882
O  0.0587  0.6643  0.7206
O  0.0663  0.6473  0.4068
O  0.0672  0.6490  0.0443
O  0.2337  0.0280  0.1578
O  0.2560  0.0195  0.4894
O  0.2918  0.9993  0.8305
O  0.3861  0.3148  0.2778
O  0.3914  0.3220  0.9620
O  0.3977  0.3185  0.5927
O  0.6023  0.6815  0.4073
O  0.6086  0.6780  0.0380
O  0.6139  0.6852  0.7222
O  0.7082  0.0007  0.1695
O  0.7440  0.9805  0.5106
O  0.7663  0.9720  0.8422
O  0.9328  0.3510  0.9557
O  0.9337  0.3527  0.5932
O  0.9413  0.3357  0.2794

Most intense lines, 5 to 70 degrees two-theta, low angle first:
d_spacing	2θ/deg	I_rel
4.766	18.62	100
2.465	36.45	13
2.444	36.77	13
2.433	36.94	13
2.349	38.32	9
2.058	44.00	21
2.040	44.42	20
2.023	44.81	20


For Li6Ni13O26, a cell relaxed with GGA+U gives the theoretical X-ray powder pattern in this record (Cu Kα X-rays).

Cell and atoms:
a = 4.8947 Å, b = 9.8607 Å, c = 9.9246 Å
α = 67.51°, β = 82.22°, γ = 85.22°
Element x y z (fractional)
Li  0.0405  0.0761  0.3466
Li  0.1196  0.2297  0.0368
Li  0.1980  0.3911  0.7159
Li  0.8020  0.6089  0.2841
Li  0.8804  0.7703  0.9632
Li  0.9595  0.9239  0.6534
Ni  0.0385  0.0767  0.8462
Ni  0.1148  0.2317  0.5393
Ni  0.1921  0.3867  0.2311
Ni  0.2681  0.5433  0.9239
Ni  0.3464  0.6960  0.6149
Ni  0.4225  0.8483  0.3070
Ni  0.5000  0.0000  0.0000
Ni  0.5775  0.1517  0.6930
Ni  0.6536  0.3040  0.3851
Ni  0.7319  0.4567  0.0761
Ni  0.8079  0.6133  0.7689
Ni  0.8852  0.7683  0.4607
Ni  0.9615  0.9233  0.1538
O  0.0275  0.5552  0.0996
O  0.0284  0.5986  0.6055
O  0.0922  0.7512  0.2951
O  0.0939  0.7109  0.7950
O  0.1700  0.9048  0.9881
O  0.1790  0.8640  0.4840
O  0.2450  0.0595  0.6790
O  0.2553  0.0170  0.1776
O  0.3268  0.2154  0.3714
O  0.3350  0.1686  0.8706
O  0.4044  0.3704  0.0635
O  0.4139  0.3184  0.5667
O  0.4934  0.5264  0.7492
O  0.5066  0.4736  0.2508
O  0.5861  0.6816  0.4333
O  0.5956  0.6296  0.9365
O  0.6650  0.8314  0.1294
O  0.6732  0.7846  0.6286
O  0.7447  0.9830  0.8224
O  0.7550  0.9405  0.3210
O  0.8210  0.1360  0.5160
O  0.8300  0.0952  0.0119
O  0.9061  0.2891  0.2050
O  0.9078  0.2488  0.7049
O  0.9716  0.4014  0.3945
O  0.9725  0.4448  0.9004

Most intense lines, 5 to 70 degrees two-theta, low angle first:
d_spacing	2θ/deg	I_rel
4.870	18.22	100
2.453	36.64	12
2.411	37.29	11
2.380	37.80	10
2.065	43.84	17
2.029	44.66	16
2.007	45.17	15
1.463	63.62	8